For Sr2CeBr2N2, a cell relaxed with GGA-PBE gives the simulated powder diffraction line list in this record (Cu Kα (weighted mean of Kα1 and Kα2)).
No peak broadening, texture or thermal motion is included.

Peak list (12 most intense, 10° ≤ 2θ ≤ 90°, by angle)
h k l, d/Å, I_rel
0 0 2, 8.166, 19
1 0 1, 4.372, 7
1 1 0, 3.208, 80
1 0 5, 2.651, 100
2 0 0, 2.269, 38
2 1 5, 1.724, 54
2 2 0, 1.604, 13
1 1 10, 1.455, 11
3 1 0, 1.435, 14
3 0 5, 1.372, 13
2 0 10, 1.325, 10
3 2 5, 1.174, 16

Structural model:
```
Sr2CeBr2N2
1.0
4.5372 0.0000 0.0000
0.0000 4.5372 0.0000
0.0000 0.0000 16.3320
Sr Ce Br N
4 2 4 4
Cartesian
0.0000 0.0000 1.6894
0.0000 0.0000 14.6426
2.2686 2.2686 6.4766
2.2686 2.2686 9.8555
0.0000 0.0000 8.1660
2.2686 2.2686 0.0000
0.0000 0.0000 5.1320
0.0000 0.0000 11.2000
2.2686 2.2686 3.0340
2.2686 2.2686 13.2980
0.0000 2.2686 0.0000
0.0000 2.2686 8.1660
2.2686 0.0000 0.0000
2.2686 0.0000 8.1660
```